This entry pairs a crystal structure of Nd2GaNi4P3 with its theoretical XRD peak list. Radiation: CuKα. Structure: a crystal structure in Alexandria, relaxed with GGA-PBE.
Peak positions follow from Bragg's law for the DFT cell and can differ from measured ones.

Structure:
```
data_Nd2GaNi4P3
_chemical_formula_sum 'Nd2 Ga1 Ni4 P3'
_cell_length_a 4.000
_cell_length_b 4.000
_cell_length_c 9.602
_cell_angle_alpha 90.00
_cell_angle_beta 90.00
_cell_angle_gamma 90.00
_space_group_name_H-M_alt 'P 1'
_space_group_IT_number 1
_space_group_name_Hall 'P 1'
loop_
_atom_site_label
_atom_site_type_symbol
_atom_site_fract_x
_atom_site_fract_y
_atom_site_fract_z
_atom_site_occupancy
Nd1 Nd 0.000 0.500 0.244 1
Nd2 Nd 0.500 0.000 0.756 1
Ga1 Ga 0.000 0.000 0.500 1
Ni1 Ni 0.000 0.000 0.000 1
Ni2 Ni 0.000 0.500 0.632 1
Ni3 Ni 0.500 0.000 0.368 1
Ni4 Ni 0.500 0.500 0.000 1
P1 P 0.000 0.500 0.871 1
P2 P 0.500 0.000 0.129 1
P3 P 0.500 0.500 0.500 1
```

Principal peaks in the range 10 to 90 degrees two-theta, in order of rising 2θ:
d = 3.693 Å, I = 24; d = 2.499 Å, I = 62; d = 2.437 Å, I = 100; d = 2.000 Å, I = 49; d = 1.731 Å, I = 24; d = 1.562 Å, I = 29; d = 1.309 Å, I = 18; d = 1.223 Å, I = 21

=====

This entry pairs a crystal structure of Cs3Rb3ErBr8 with its theoretical XRD peak list. Radiation: CuKα. Structure: a crystal structure in Alexandria, relaxed with GGA-PBE.
Peak positions follow from Bragg's law for the DFT cell and can differ from measured ones.

Structure:
```
data_Cs3Rb3ErBr8
_chemical_formula_sum 'Cs3 Rb3 Er1 Br8'
_cell_length_a 10.052
_cell_length_b 10.052
_cell_length_c 10.245
_cell_angle_alpha 119.38
_cell_angle_beta 119.38
_cell_angle_gamma 60.00
_space_group_name_H-M_alt 'P 1'
_space_group_IT_number 1
_space_group_name_Hall 'P 1'
loop_
_atom_site_label
_atom_site_type_symbol
_atom_site_fract_x
_atom_site_fract_y
_atom_site_fract_z
_atom_site_occupancy
Cs1 Cs 0.000 0.000 0.000 1
Cs2 Cs 0.000 0.500 0.000 1
Cs3 Cs 0.500 0.000 0.000 1
Rb1 Rb 0.000 0.500 0.500 1
Rb2 Rb 0.500 0.000 0.500 1
Rb3 Rb 0.500 0.500 0.500 1
Er1 Er 0.000 0.000 0.500 1
Br1 Br 0.198 0.198 0.692 1
Br2 Br 0.198 0.796 0.691 1
Br3 Br 0.204 0.802 0.309 1
Br4 Br 0.255 0.255 0.266 1
Br5 Br 0.745 0.745 0.734 1
Br6 Br 0.796 0.198 0.691 1
Br7 Br 0.802 0.204 0.309 1
Br8 Br 0.802 0.802 0.308 1
```

Principal peaks in the range 10 to 90 degrees two-theta, in order of rising 2θ:
d = 8.232 Å, I = 47; d = 3.587 Å, I = 100; d = 2.759 Å, I = 11; d = 2.560 Å, I = 32; d = 2.513 Å, I = 33; d = 2.058 Å, I = 15; d = 1.616 Å, I = 11; d = 1.592 Å, I = 12

=====

This entry pairs a crystal structure of Tb6Tl6Sn with its theoretical XRD peak list. Radiation: CuKα. Structure: a crystal structure in Alexandria, relaxed with GGA-PBE.
Peak positions follow from Bragg's law for the DFT cell and can differ from measured ones.

Structure:
```
data_Tb6Tl6Sn
_chemical_formula_sum 'Tb6 Tl6 Sn1'
_cell_length_a 6.534
_cell_length_b 6.534
_cell_length_c 10.360
_cell_angle_alpha 90.00
_cell_angle_beta 90.00
_cell_angle_gamma 120.00
_space_group_name_H-M_alt 'P 1'
_space_group_IT_number 1
_space_group_name_Hall 'P 1'
loop_
_atom_site_label
_atom_site_type_symbol
_atom_site_fract_x
_atom_site_fract_y
_atom_site_fract_z
_atom_site_occupancy
Tb1 Tb 0.000 0.000 0.195 1
Tb2 Tb 0.000 0.000 0.805 1
Tb3 Tb 0.333 0.667 0.000 1
Tb4 Tb 0.333 0.667 0.500 1
Tb5 Tb 0.667 0.333 0.000 1
Tb6 Tb 0.667 0.333 0.500 1
Tl1 Tl 0.000 0.500 0.249 1
Tl2 Tl 0.000 0.500 0.751 1
Tl3 Tl 0.500 0.000 0.249 1
Tl4 Tl 0.500 0.000 0.751 1
Tl5 Tl 0.500 0.500 0.249 1
Tl6 Tl 0.500 0.500 0.751 1
Sn1 Sn 0.000 0.000 0.500 1
```

Principal peaks in the range 10 to 90 degrees two-theta, in order of rising 2θ:
d = 5.180 Å, I = 18; d = 2.829 Å, I = 46; d = 2.763 Å, I = 41; d = 2.590 Å, I = 28; d = 2.483 Å, I = 100; d = 1.910 Å, I = 20; d = 1.633 Å, I = 27; d = 1.382 Å, I = 25

=====

This entry pairs a crystal structure of Na5B6C4 with its theoretical XRD peak list. Radiation: CuKα. Structure: a crystal structure in Alexandria, relaxed with GGA-PBE.
Peak positions follow from Bragg's law for the DFT cell and can differ from measured ones.

Structure:
```
data_Na5B6C4
_chemical_formula_sum 'Na10 B12 C8'
_cell_length_a 8.949
_cell_length_b 8.949
_cell_length_c 13.130
_cell_angle_alpha 113.67
_cell_angle_beta 113.67
_cell_angle_gamma 18.21
_space_group_name_H-M_alt 'P 1'
_space_group_IT_number 1
_space_group_name_Hall 'P 1'
loop_
_atom_site_label
_atom_site_type_symbol
_atom_site_fract_x
_atom_site_fract_y
_atom_site_fract_z
_atom_site_occupancy
Na1 Na 0.000 0.000 0.000 1
Na2 Na 0.000 0.000 0.500 1
Na3 Na 0.200 0.200 0.900 1
Na4 Na 0.201 0.201 0.399 1
Na5 Na 0.399 0.399 0.300 1
Na6 Na 0.400 0.400 0.802 1
Na7 Na 0.600 0.600 0.198 1
Na8 Na 0.601 0.601 0.700 1
Na9 Na 0.799 0.799 0.601 1
Na10 Na 0.800 0.800 0.100 1
B1 B 0.032 0.032 0.311 1
B2 B 0.164 0.164 0.077 1
B3 B 0.167 0.167 0.586 1
B4 B 0.238 0.238 0.729 1
B5 B 0.372 0.372 0.495 1
B6 B 0.434 0.434 0.117 1
B7 B 0.566 0.566 0.883 1
B8 B 0.628 0.628 0.505 1
B9 B 0.762 0.762 0.271 1
B10 B 0.833 0.833 0.414 1
B11 B 0.836 0.836 0.923 1
B12 B 0.968 0.968 0.689 1
C1 C 0.033 0.033 0.819 1
C2 C 0.230 0.230 0.208 1
C3 C 0.368 0.368 0.987 1
C4 C 0.436 0.436 0.625 1
C5 C 0.564 0.564 0.375 1
C6 C 0.632 0.632 0.013 1
C7 C 0.770 0.770 0.792 1
C8 C 0.967 0.967 0.181 1
```

Principal peaks in the range 10 to 90 degrees two-theta, in order of rising 2θ:
d = 2.465 Å, I = 18; d = 2.156 Å, I = 25; d = 2.150 Å, I = 25; d = 2.131 Å, I = 100; d = 2.121 Å, I = 39; d = 1.608 Å, I = 10; d = 1.436 Å, I = 17; d = 1.183 Å, I = 11

=====

This entry pairs a crystal structure of TeRhBr with its theoretical XRD peak list. Radiation: CuKα. Structure: a crystal structure in Alexandria, relaxed with GGA-PBE.
Peak positions follow from Bragg's law for the DFT cell and can differ from measured ones.

Structure:
```
data_TeRhBr
_chemical_formula_sum 'Te2 Rh2 Br2'
_cell_length_a 5.265
_cell_length_b 3.852
_cell_length_c 8.372
_cell_angle_alpha 90.00
_cell_angle_beta 90.10
_cell_angle_gamma 90.00
_space_group_name_H-M_alt 'P 1'
_space_group_IT_number 1
_space_group_name_Hall 'P 1'
loop_
_atom_site_label
_atom_site_type_symbol
_atom_site_fract_x
_atom_site_fract_y
_atom_site_fract_z
_atom_site_occupancy
Te1 Te 0.250 0.250 0.065 1
Te2 Te 0.750 0.750 0.935 1
Rh1 Rh 0.250 0.750 0.855 1
Rh2 Rh 0.750 0.250 0.145 1
Br1 Br 0.250 0.250 0.648 1
Br2 Br 0.750 0.750 0.352 1
```

Principal peaks in the range 10 to 90 degrees two-theta, in order of rising 2θ:
d = 8.372 Å, I = 100; d = 4.457 Å, I = 30; d = 2.835 Å, I = 67; d = 2.633 Å, I = 36; d = 2.077 Å, I = 34; d = 1.929 Å, I = 43; d = 1.926 Å, I = 14; d = 1.596 Å, I = 16

=====

This entry pairs a crystal structure of Nb4VGe3 with its theoretical XRD peak list. Radiation: CuKα. Structure: a crystal structure in Alexandria, relaxed with GGA-PBE.
Peak positions follow from Bragg's law for the DFT cell and can differ from measured ones.

Structure:
```
data_Nb4VGe3
_chemical_formula_sum 'Nb8 V2 Ge6'
_cell_length_a 7.613
_cell_length_b 7.613
_cell_length_c 7.613
_cell_angle_alpha 96.32
_cell_angle_beta 96.32
_cell_angle_gamma 141.25
_space_group_name_H-M_alt 'P 1'
_space_group_IT_number 1
_space_group_name_Hall 'P 1'
loop_
_atom_site_label
_atom_site_type_symbol
_atom_site_fract_x
_atom_site_fract_y
_atom_site_fract_z
_atom_site_occupancy
Nb1 Nb 0.079 0.777 0.855 1
Nb2 Nb 0.223 0.079 0.302 1
Nb3 Nb 0.277 0.579 0.855 1
Nb4 Nb 0.421 0.277 0.698 1
Nb5 Nb 0.579 0.723 0.302 1
Nb6 Nb 0.723 0.421 0.145 1
Nb7 Nb 0.777 0.921 0.698 1
Nb8 Nb 0.921 0.223 0.145 1
V1 V 0.250 0.750 0.500 1
V2 V 0.750 0.250 0.500 1
Ge1 Ge 0.158 0.342 0.500 1
Ge2 Ge 0.250 0.250 0.000 1
Ge3 Ge 0.342 0.842 0.183 1
Ge4 Ge 0.658 0.158 0.817 1
Ge5 Ge 0.750 0.750 0.000 1
Ge6 Ge 0.842 0.658 0.500 1
```

Principal peaks in the range 10 to 90 degrees two-theta, in order of rising 2θ:
d = 2.525 Å, I = 29; d = 2.460 Å, I = 66; d = 2.271 Å, I = 53; d = 2.261 Å, I = 35; d = 2.214 Å, I = 100; d = 2.066 Å, I = 34; d = 1.767 Å, I = 19; d = 1.390 Å, I = 22

=====

This entry pairs a crystal structure of Na8NbO6 with its theoretical XRD peak list. Radiation: CuKα. Structure: a crystal structure in Alexandria, relaxed with GGA-PBE.
Peak positions follow from Bragg's law for the DFT cell and can differ from measured ones.

Structure:
```
data_Na8NbO6
_chemical_formula_sum 'Na16 Nb2 O12'
_cell_length_a 6.507
_cell_length_b 6.507
_cell_length_c 13.364
_cell_angle_alpha 90.00
_cell_angle_beta 90.00
_cell_angle_gamma 120.00
_space_group_name_H-M_alt 'P 1'
_space_group_IT_number 1
_space_group_name_Hall 'P 1'
loop_
_atom_site_label
_atom_site_type_symbol
_atom_site_fract_x
_atom_site_fract_y
_atom_site_fract_z
_atom_site_occupancy
Na1 Na 0.000 0.304 0.000 1
Na2 Na 0.000 0.399 0.357 1
Na3 Na 0.000 0.601 0.857 1
Na4 Na 0.000 0.696 0.500 1
Na5 Na 0.304 0.000 0.000 1
Na6 Na 0.304 0.304 0.500 1
Na7 Na 0.333 0.667 0.139 1
Na8 Na 0.333 0.667 0.639 1
Na9 Na 0.399 0.000 0.357 1
Na10 Na 0.399 0.399 0.857 1
Na11 Na 0.601 0.000 0.857 1
Na12 Na 0.601 0.601 0.357 1
Na13 Na 0.667 0.333 0.139 1
Na14 Na 0.667 0.333 0.639 1
Na15 Na 0.696 0.000 0.500 1
Na16 Na 0.696 0.696 0.000 1
Nb1 Nb 0.000 0.000 0.218 1
Nb2 Nb 0.000 0.000 0.718 1
O1 O 0.000 0.000 0.362 1
O2 O 0.000 0.000 0.862 1
O3 O 0.000 0.282 0.182 1
O4 O 0.000 0.718 0.682 1
O5 O 0.282 0.000 0.182 1
O6 O 0.282 0.282 0.682 1
O7 O 0.333 0.667 0.453 1
O8 O 0.333 0.667 0.953 1
O9 O 0.667 0.333 0.453 1
O10 O 0.667 0.333 0.953 1
O11 O 0.718 0.000 0.682 1
O12 O 0.718 0.718 0.182 1
```

Principal peaks in the range 10 to 90 degrees two-theta, in order of rising 2θ:
d = 5.635 Å, I = 52; d = 4.308 Å, I = 100; d = 3.254 Å, I = 27; d = 3.161 Å, I = 36; d = 2.925 Å, I = 40; d = 2.874 Å, I = 36; d = 2.596 Å, I = 38; d = 1.878 Å, I = 51

=====

This entry pairs a crystal structure of UIn2I7 with its theoretical XRD peak list. Radiation: CuKα. Structure: a crystal structure in Alexandria, relaxed with GGA-PBE.
Peak positions follow from Bragg's law for the DFT cell and can differ from measured ones.

Structure:
```
data_UIn2I7
_chemical_formula_sum 'U2 In4 I14'
_cell_length_a 10.998
_cell_length_b 10.998
_cell_length_c 14.509
_cell_angle_alpha 124.78
_cell_angle_beta 124.78
_cell_angle_gamma 50.72
_space_group_name_H-M_alt 'P 1'
_space_group_IT_number 1
_space_group_name_Hall 'P 1'
loop_
_atom_site_label
_atom_site_type_symbol
_atom_site_fract_x
_atom_site_fract_y
_atom_site_fract_z
_atom_site_occupancy
U1 U 0.185 0.815 0.750 1
U2 U 0.815 0.185 0.250 1
In1 In 0.171 0.662 0.965 1
In2 In 0.338 0.829 0.535 1
In3 In 0.662 0.171 0.465 1
In4 In 0.829 0.338 0.035 1
I1 I 0.042 0.306 0.318 1
I2 I 0.043 0.777 0.490 1
I3 I 0.135 0.865 0.250 1
I4 I 0.223 0.957 0.010 1
I5 I 0.306 0.042 0.818 1
I6 I 0.422 0.492 0.829 1
I7 I 0.492 0.422 0.329 1
I8 I 0.508 0.578 0.671 1
I9 I 0.578 0.508 0.171 1
I10 I 0.694 0.958 0.182 1
I11 I 0.777 0.043 0.990 1
I12 I 0.865 0.135 0.750 1
I13 I 0.957 0.223 0.510 1
I14 I 0.958 0.694 0.682 1
```

Principal peaks in the range 10 to 90 degrees two-theta, in order of rising 2θ:
d = 7.883 Å, I = 50; d = 7.707 Å, I = 100; d = 3.437 Å, I = 42; d = 3.230 Å, I = 29; d = 3.076 Å, I = 34; d = 2.979 Å, I = 20; d = 2.523 Å, I = 20; d = 2.435 Å, I = 20

=====

This entry pairs a crystal structure of Pr6HoPb10 with its theoretical XRD peak list. Radiation: CuKα. Structure: a crystal structure in Alexandria, relaxed with GGA-PBE.
Peak positions follow from Bragg's law for the DFT cell and can differ from measured ones.

Structure:
```
data_Pr6HoPb10
_chemical_formula_sum 'Pr6 Ho1 Pb10'
_cell_length_a 9.636
_cell_length_b 9.636
_cell_length_c 6.609
_cell_angle_alpha 90.00
_cell_angle_beta 90.00
_cell_angle_gamma 120.00
_space_group_name_H-M_alt 'P 1'
_space_group_IT_number 1
_space_group_name_Hall 'P 1'
loop_
_atom_site_label
_atom_site_type_symbol
_atom_site_fract_x
_atom_site_fract_y
_atom_site_fract_z
_atom_site_occupancy
Pr1 Pr 0.000 0.389 0.264 1
Pr2 Pr 0.000 0.611 0.736 1
Pr3 Pr 0.389 0.000 0.264 1
Pr4 Pr 0.389 0.389 0.736 1
Pr5 Pr 0.611 0.000 0.736 1
Pr6 Pr 0.611 0.611 0.264 1
Ho1 Ho 0.000 0.000 0.500 1
Pb1 Pb 0.000 0.255 0.798 1
Pb2 Pb 0.000 0.745 0.202 1
Pb3 Pb 0.255 0.000 0.798 1
Pb4 Pb 0.255 0.255 0.202 1
Pb5 Pb 0.333 0.667 0.000 1
Pb6 Pb 0.333 0.667 0.500 1
Pb7 Pb 0.667 0.333 0.000 1
Pb8 Pb 0.667 0.333 0.500 1
Pb9 Pb 0.745 0.000 0.202 1
Pb10 Pb 0.745 0.745 0.798 1
```

Principal peaks in the range 10 to 90 degrees two-theta, in order of rising 2θ:
d = 3.154 Å, I = 19; d = 2.847 Å, I = 87; d = 2.782 Å, I = 66; d = 2.725 Å, I = 100; d = 1.947 Å, I = 27; d = 1.839 Å, I = 17; d = 1.595 Å, I = 19; d = 1.462 Å, I = 16

=====

This entry pairs a crystal structure of CeBe5As4 with its theoretical XRD peak list. Radiation: CuKα. Structure: a crystal structure in Alexandria, relaxed with GGA-PBE.
Peak positions follow from Bragg's law for the DFT cell and can differ from measured ones.

Structure:
```
data_CeBe5As4
_chemical_formula_sum 'Ce2 Be10 As8'
_cell_length_a 7.872
_cell_length_b 10.929
_cell_length_c 3.638
_cell_angle_alpha 90.00
_cell_angle_beta 90.00
_cell_angle_gamma 90.00
_space_group_name_H-M_alt 'P 1'
_space_group_IT_number 1
_space_group_name_Hall 'P 1'
loop_
_atom_site_label
_atom_site_type_symbol
_atom_site_fract_x
_atom_site_fract_y
_atom_site_fract_z
_atom_site_occupancy
Ce1 Ce 0.250 0.250 0.123 1
Ce2 Ce 0.750 0.750 0.877 1
Be1 Be 0.097 0.561 0.134 1
Be2 Be 0.097 0.939 0.134 1
Be3 Be 0.250 0.750 0.841 1
Be4 Be 0.403 0.561 0.134 1
Be5 Be 0.403 0.939 0.134 1
Be6 Be 0.597 0.061 0.866 1
Be7 Be 0.597 0.439 0.866 1
Be8 Be 0.750 0.250 0.159 1
Be9 Be 0.903 0.061 0.866 1
Be10 Be 0.903 0.439 0.866 1
As1 As 0.051 0.750 0.349 1
As2 As 0.250 0.019 0.649 1
As3 As 0.250 0.481 0.649 1
As4 As 0.449 0.750 0.349 1
As5 As 0.551 0.250 0.651 1
As6 As 0.750 0.519 0.351 1
As7 As 0.750 0.981 0.351 1
As8 As 0.949 0.250 0.651 1
```

Principal peaks in the range 10 to 90 degrees two-theta, in order of rising 2θ:
d = 6.387 Å, I = 52; d = 5.464 Å, I = 35; d = 2.826 Å, I = 100; d = 2.732 Å, I = 73; d = 2.595 Å, I = 47; d = 2.551 Å, I = 52; d = 2.400 Å, I = 76; d = 2.154 Å, I = 45

=====

This entry pairs a crystal structure of Ca3NO with its theoretical XRD peak list. Radiation: CuKα. Structure: a crystal structure in Alexandria, relaxed with GGA-PBE.
Peak positions follow from Bragg's law for the DFT cell and can differ from measured ones.

Structure:
```
data_Ca3NO
_chemical_formula_sum 'Ca6 N2 O2'
_cell_length_a 6.997
_cell_length_b 6.997
_cell_length_c 6.997
_cell_angle_alpha 50.32
_cell_angle_beta 50.32
_cell_angle_gamma 50.32
_space_group_name_H-M_alt 'P 1'
_space_group_IT_number 1
_space_group_name_Hall 'P 1'
loop_
_atom_site_label
_atom_site_type_symbol
_atom_site_fract_x
_atom_site_fract_y
_atom_site_fract_z
_atom_site_occupancy
Ca1 Ca 0.052 0.422 0.774 1
Ca2 Ca 0.226 0.578 0.948 1
Ca3 Ca 0.422 0.774 0.052 1
Ca4 Ca 0.578 0.948 0.226 1
Ca5 Ca 0.774 0.052 0.422 1
Ca6 Ca 0.948 0.226 0.578 1
N1 N 0.167 0.167 0.167 1
N2 N 0.833 0.833 0.833 1
O1 O 0.358 0.358 0.358 1
O2 O 0.642 0.642 0.642 1
```

Principal peaks in the range 10 to 90 degrees two-theta, in order of rising 2θ:
d = 3.048 Å, I = 28; d = 2.974 Å, I = 93; d = 2.129 Å, I = 100; d = 1.717 Å, I = 28; d = 1.496 Å, I = 14; d = 1.356 Å, I = 16; d = 1.337 Å, I = 15; d = 1.140 Å, I = 9

=====

This entry pairs a crystal structure of YHoEr with its theoretical XRD peak list. Radiation: CuKα. Structure: a crystal structure in Alexandria, relaxed with GGA-PBE.
Peak positions follow from Bragg's law for the DFT cell and can differ from measured ones.

Structure:
```
data_YHoEr
_chemical_formula_sum 'Y2 Ho2 Er2'
_cell_length_a 4.996
_cell_length_b 4.994
_cell_length_c 7.909
_cell_angle_alpha 90.00
_cell_angle_beta 108.36
_cell_angle_gamma 90.00
_space_group_name_H-M_alt 'P 1'
_space_group_IT_number 1
_space_group_name_Hall 'P 1'
loop_
_atom_site_label
_atom_site_type_symbol
_atom_site_fract_x
_atom_site_fract_y
_atom_site_fract_z
_atom_site_occupancy
Y1 Y 0.084 0.250 0.168 1
Y2 Y 0.916 0.750 0.832 1
Ho1 Ho 0.416 0.250 0.832 1
Ho2 Ho 0.584 0.750 0.168 1
Er1 Er 0.250 0.750 0.500 1
Er2 Er 0.750 0.250 0.500 1
```

Principal peaks in the range 10 to 90 degrees two-theta, in order of rising 2θ:
d = 2.886 Å, I = 100; d = 2.499 Å, I = 50; d = 1.767 Å, I = 36; d = 1.508 Å, I = 21; d = 1.506 Å, I = 21; d = 1.443 Å, I = 12; d = 1.147 Å, I = 12; d = 1.117 Å, I = 8

=====

What is the formula in the fourth record? Na5B6C4